Record 1
Diffraction record for Nb2P4H3O16. The powder diffraction line list is computed, not measured: it uses a GGA-PBE-relaxed structure and Cu Kα (weighted mean of Kα1 and Kα2).

Main lines, sorted by position (2θ from 5° to 70°):
- 2θ 16.31, I 61
- 2θ 16.46, I 58
- 2θ 21.30, I 56
- 2θ 24.60, I 100
- 2θ 28.83, I 40
- 2θ 29.01, I 60

Structural model:
```
data_Nb2P4H3O16
_chemical_formula_sum 'Nb2 P4 H3 O16'
_symmetry_space_group_name_H-M 'P 1'
_symmetry_Int_Tables_number 1
_cell_length_a 5.089
_cell_length_b 7.374
_cell_length_c 8.331
_cell_angle_alpha 90.17
_cell_angle_beta 91.38
_cell_angle_gamma 105.22
loop_
_symmetry_equiv_pos_as_xyz
'x,y,z'
loop_
_atom_site_label
_atom_site_type_symbol
_atom_site_fract_x
_atom_site_fract_y
_atom_site_fract_z
Nb1 Nb 0.000 0.000 0.000
Nb2 Nb 0.498 0.504 0.496
P1 P 0.125 0.774 0.651
P2 P 0.383 0.725 0.144
P3 P 0.611 0.273 0.848
P4 P 0.872 0.231 0.343
H1 H 0.350 0.071 0.598
H2 H 0.643 0.936 0.394
H3 H 0.962 0.490 0.985
O1 O 0.064 0.835 0.820
O2 O 0.137 0.339 0.433
O3 O 0.220 0.546 0.068
O4 O 0.224 0.881 0.146
O5 O 0.236 0.953 0.547
O6 O 0.321 0.648 0.659
O7 O 0.344 0.190 0.939
O8 O 0.470 0.704 0.325
O9 O 0.526 0.301 0.670
O10 O 0.658 0.815 0.058
O11 O 0.678 0.359 0.335
O12 O 0.756 0.053 0.446
O13 O 0.771 0.461 0.921
O14 O 0.782 0.127 0.848
O15 O 0.860 0.666 0.562
O16 O 0.935 0.171 0.175
```

---

Record 2
Diffraction record for K8Pd3O8. The powder diffraction line list is computed, not measured: it uses a GGA-PBE-relaxed structure and Cu Kα (weighted mean of Kα1 and Kα2).

Main lines, sorted by position (2θ from 5° to 70°):
- 2θ 19.62, I 99
- 2θ 21.59, I 51
- 2θ 28.39, I 84
- 2θ 29.55, I 100
- 2θ 32.33, I 34
- 2θ 32.85, I 90

Structural model:
```
data_K8Pd3O8
_chemical_formula_sum 'K8 Pd3 O8'
_symmetry_space_group_name_H-M 'P 1'
_symmetry_Int_Tables_number 1
_cell_length_a 10.198
_cell_length_b 10.198
_cell_length_c 8.175
_cell_angle_alpha 106.05
_cell_angle_beta 106.05
_cell_angle_gamma 31.01
loop_
_symmetry_equiv_pos_as_xyz
'x,y,z'
loop_
_atom_site_label
_atom_site_type_symbol
_atom_site_fract_x
_atom_site_fract_y
_atom_site_fract_z
K1 K 0.031 0.031 0.234
K2 K 0.174 0.174 0.738
K3 K 0.329 0.329 0.558
K4 K 0.396 0.396 0.054
K5 K 0.604 0.604 0.946
K6 K 0.671 0.671 0.442
K7 K 0.826 0.826 0.262
K8 K 0.969 0.969 0.766
Pd1 Pd 0.195 0.195 0.185
Pd2 Pd 0.500 0.500 0.500
Pd3 Pd 0.805 0.805 0.815
O1 O 0.107 0.107 0.001
O2 O 0.177 0.177 0.402
O3 O 0.296 0.296 0.218
O4 O 0.476 0.476 0.707
O5 O 0.524 0.524 0.293
O6 O 0.704 0.704 0.782
O7 O 0.823 0.823 0.598
O8 O 0.893 0.893 0.999
```

---

Record 3
Diffraction record for Cs2YCI6. The powder diffraction line list is computed, not measured: it uses a GGA-PBE-relaxed structure and Cu Kα (weighted mean of Kα1 and Kα2).

Main lines, sorted by position (2θ from 5° to 70°):
- 2θ 25.79, I 100
- 2θ 26.69, I 33
- 2θ 31.35, I 46
- 2θ 41.63, I 38
- 2θ 52.52, I 25
- 2θ 53.02, I 18

Structural model:
```
data_Cs2YCI6
_chemical_formula_sum 'Cs2 Y1 C1 I6'
_symmetry_space_group_name_H-M 'P 1'
_symmetry_Int_Tables_number 1
_cell_length_a 8.785
_cell_length_b 8.785
_cell_length_c 8.785
_cell_angle_alpha 125.31
_cell_angle_beta 125.31
_cell_angle_gamma 81.03
loop_
_symmetry_equiv_pos_as_xyz
'x,y,z'
loop_
_atom_site_label
_atom_site_type_symbol
_atom_site_fract_x
_atom_site_fract_y
_atom_site_fract_z
Cs1 Cs 0.250 0.750 0.500
Cs2 Cs 0.750 0.250 0.500
Y1 Y 0.000 0.000 0.000
C1 C 0.500 0.500 0.000
I1 I 0.226 0.226 0.000
I2 I 0.268 0.268 0.536
I3 I 0.268 0.732 0.000
I4 I 0.732 0.268 0.000
I5 I 0.732 0.732 0.464
I6 I 0.774 0.774 0.000
```